Entry 1:
Computed powder diffractogram of PrHfO3 for λ = 1.5418 Å (Cu Kα), from the PBE geometry in the Materials Project.

Cell and atoms:
Unit cell a=4.1259 b=4.1259 c=4.1259 alpha=90.00 beta=90.00 gamma=90.00
Space group Pm-3m (No. 221)
Asymmetric unit:
Pr 0.0000 0.0000 0.0000
Hf 0.5000 0.5000 0.5000
O 0.0000 0.5000 0.5000

Main lines, by angle (10 to 90 degrees two-theta):
2θ = 21.5°, d 4.126, I 3, (1 0 0)
2θ = 30.6°, d 2.917, I 100, (1 1 0)
2θ = 43.9°, d 2.063, I 28, (2 0 0)
2θ = 49.4°, d 1.845, I 1, (2 1 0)
2θ = 54.5°, d 1.684, I 41, (2 1 1)
2θ = 63.8°, d 1.459, I 17, (2 2 0)
2θ = 68.2°, d 1.375, I 1, (3 0 0)
2θ = 72.4°, d 1.305, I 18, (3 1 0)
2θ = 80.7°, d 1.191, I 6, (2 2 2)
2θ = 88.7°, d 1.103, I 22, (3 2 1)



Entry 2:
Computed powder diffractogram of TcB2 for λ = 1.5418 Å (Cu Kα), from the PBE geometry in the Materials Project.

Cell and atoms:
Unit cell a=2.9028 b=2.9028 c=7.4726 alpha=90.00 beta=90.00 gamma=120.00
Space group P6_3/mmc (No. 194)
Asymmetric unit:
Tc 0.3333 0.6667 0.2500
B 0.3333 0.6667 0.5478

Main lines, by angle (10 to 90 degrees two-theta):
2θ = 23.8°, d 3.736, I 60, (0 0 2)
2θ = 35.7°, d 2.514, I 29, (1 0 0)
2θ = 37.8°, d 2.383, I 100, (1 0 1)
2θ = 43.4°, d 2.086, I 19, (1 0 2)
2θ = 48.7°, d 1.868, I 13, (0 0 4)
2θ = 51.7°, d 1.769, I 54, (1 0 3)
2θ = 64.2°, d 1.451, I 19, (1 1 0)
2θ = 69.5°, d 1.353, I 19, (1 1 2)
2θ = 76.9°, d 1.240, I 12, (2 0 1)
2θ = 84.5°, d 1.146, I 15, (1 1 4)